1.
CoTe5: computed powder XRD pattern (Cu Kα, 1.54184 Å), based on a cell relaxed with GGA-PBE.

The 10 most intense peaks (2θ = 10–80°), by angle:
2θ = 12.05°, intensity 63, hkl 2 0 0
2θ = 14.31°, intensity 65, hkl 2 0 -1
2θ = 25.72°, intensity 34, hkl 2 0 -2
2θ = 28.15°, intensity 67, hkl 0 0 2
2θ = 30.89°, intensity 67, hkl 3 1 -1
2θ = 31.04°, intensity 100, hkl 3 1 0
2θ = 32.75°, intensity 55, hkl 4 0 1
2θ = 36.83°, intensity 37, hkl 3 1 -2
2θ = 40.35°, intensity 45, hkl 1 1 2
2θ = 48.92°, intensity 39, hkl 5 1 -3

Structural model:
```
data_CoTe5
_chemical_formula_sum 'Co2 Te10'
_symmetry_space_group_name_H-M 'C 1 m 1'
_symmetry_Int_Tables_number 8
_cell_length_a 16.0481
_cell_length_b 3.5640
_cell_length_c 6.9304
_cell_angle_alpha 90.00
_cell_angle_beta 113.80
_cell_angle_gamma 90.00
loop_
_symmetry_equiv_pos_as_xyz
'x,y,z'
'x,-y,z'
'x+1/2,y+1/2,z'
'x+1/2,-y+1/2,z'
loop_
_atom_site_label
_atom_site_fract_x
_atom_site_fract_y
_atom_site_fract_z
_atom_site_occupancy
Co1 0.0000 0.0000 0.0000 1
Te1 0.0427 0.0000 0.3925 1
Te2 0.1255 0.5000 0.0448 1
Te3 0.2253 0.5000 0.5029 1
Te4 0.3856 0.0000 0.0254 1
Te5 0.4429 0.0000 0.6714 1
```

2.
Th5CoTe3: computed powder XRD pattern (Cu Kα, 1.54184 Å), based on a cell relaxed with GGA-PBE.

The 10 most intense peaks (2θ = 10–80°), by angle:
2θ = 28.94°, intensity 30, hkl 2 1 0
2θ = 29.74°, intensity 18, hkl 1 0 2
2θ = 32.15°, intensity 100, hkl 2 1 1
2θ = 32.92°, intensity 49, hkl 3 0 0
2θ = 33.64°, intensity 88, hkl 1 1 2
2θ = 47.78°, intensity 27, hkl 2 2 2
2θ = 51.29°, intensity 18, hkl 4 1 0
2θ = 51.77°, intensity 27, hkl 2 1 3
2θ = 53.08°, intensity 17, hkl 4 0 2
2θ = 66.14°, intensity 16, hkl 3 3 2

Structural model:
```
data_Th5CoTe3
_chemical_formula_sum 'Th10 Co2 Te6'
_symmetry_space_group_name_H-M 'P 63/m c m'
_symmetry_Int_Tables_number 193
_symmetry_space_group_name_Hall '-P 6c 2'
_cell_length_a 9.4254
_cell_length_b 9.4254
_cell_length_c 6.4607
_cell_angle_alpha 90.00
_cell_angle_beta 90.00
_cell_angle_gamma 120.00
loop_
_atom_site_label
_atom_site_fract_x
_atom_site_fract_y
_atom_site_fract_z
_atom_site_occupancy
Th1 0.0000 0.2419 0.2500 1
Th2 0.3333 0.6667 0.0000 1
Co1 0.0000 0.0000 0.0000 1
Te1 0.0000 0.3925 0.7500 1
```

3.
Th4CoTe3: computed powder XRD pattern (Cu Kα, 1.54184 Å), based on a cell relaxed with GGA-PBE.

The 10 most intense peaks (2θ = 10–80°), by angle:
2θ = 24.71°, intensity 23, hkl 1 2 1
2θ = 25.85°, intensity 23, hkl 1 3 0
2θ = 28.49°, intensity 100, hkl 2 0 0
2θ = 28.85°, intensity 31, hkl 0 4 0
2θ = 38.85°, intensity 16, hkl 2 3 1
2θ = 40.73°, intensity 39, hkl 2 0 2
2θ = 40.99°, intensity 48, hkl 2 4 0
2θ = 50.67°, intensity 26, hkl 2 4 2
2θ = 66.76°, intensity 18, hkl 4 0 2
2θ = 74.31°, intensity 17, hkl 4 4 2

Structural model:
```
data_Th4CoTe3
_chemical_formula_sum 'Th8 Co2 Te6'
_symmetry_space_group_name_H-M 'P m m n'
_symmetry_Int_Tables_number 59
_cell_length_a 6.2664
_cell_length_b 12.3784
_cell_length_c 6.2666
_cell_angle_alpha 90.00
_cell_angle_beta 90.00
_cell_angle_gamma 90.00
loop_
_symmetry_equiv_pos_as_xyz
'x,y,z'
'-x,-y,-z'
'-x+1/2,-y+1/2,z'
'x+1/2,y+1/2,-z'
'x+1/2,-y,-z'
'-x+1/2,y,z'
'-x,y+1/2,-z'
'x,-y+1/2,z'
loop_
_atom_site_label
_atom_site_fract_x
_atom_site_fract_y
_atom_site_fract_z
_atom_site_occupancy
Th1 0.2500 0.0461 0.2483 1
Th2 0.2500 0.2500 0.7488 1
Th3 0.2500 0.7500 0.7520 1
Co1 0.2500 0.2500 0.2486 1
Te1 0.2500 0.0000 0.7484 1
Te2 0.2500 0.7500 0.2518 1
```

4.
YThCoTe: computed powder XRD pattern (Cu Kα, 1.54184 Å), based on a cell relaxed with GGA-PBE.

The 10 most intense peaks (2θ = 10–80°), by angle:
2θ = 11.86°, intensity 27, hkl 0 0 3
2θ = 26.58°, intensity 55, hkl 0 1 2
2θ = 30.02°, intensity 46, hkl 1 0 4
2θ = 32.38°, intensity 100, hkl 0 1 5
2θ = 38.04°, intensity 32, hkl 1 0 7
2θ = 44.65°, intensity 53, hkl 1 1 0
2θ = 48.19°, intensity 15, hkl 1 0 10
2θ = 56.23°, intensity 21, hkl 2 0 5
2θ = 58.71°, intensity 21, hkl 1 1 9
2θ = 74.49°, intensity 18, hkl 1 2 5

Structural model:
```
data_YThCoTe
_chemical_formula_sum 'Y3 Th3 Co3 Te3'
_symmetry_space_group_name_H-M 'R 3 m'
_symmetry_Int_Tables_number 160
_symmetry_space_group_name_Hall 'R 3 -2"'
_cell_length_a 4.0589
_cell_length_b 4.0589
_cell_length_c 22.3886
_cell_angle_alpha 90.00
_cell_angle_beta 90.00
_cell_angle_gamma 120.00
loop_
_atom_site_label
_atom_site_fract_x
_atom_site_fract_y
_atom_site_fract_z
_atom_site_occupancy
Y1 0.0000 0.0000 0.0000 1
Th1 0.0000 0.0000 0.2011 1
Co1 0.0000 0.0000 0.5956 1
Te1 0.0000 0.0000 0.7628 1
```

5.
Ti2CoTe: computed powder XRD pattern (Cu Kα, 1.54184 Å), based on a cell relaxed with GGA-PBE.

The 10 most intense peaks (2θ = 10–80°), by angle:
2θ = 25.15°, intensity 33, hkl 2 0 0
2θ = 32.60°, intensity 29, hkl 2 1 1
2θ = 35.86°, intensity 89, hkl 2 2 0
2θ = 37.21°, intensity 100, hkl 1 1 2
2θ = 51.62°, intensity 26, hkl 4 0 0
2θ = 52.63°, intensity 66, hkl 3 1 2
2θ = 58.25°, intensity 12, hkl 4 2 0
2θ = 65.33°, intensity 16, hkl 3 3 2
2θ = 73.71°, intensity 21, hkl 2 0 4
2θ = 76.83°, intensity 19, hkl 5 1 2

Structural model:
```
data_Ti2CoTe
_chemical_formula_sum 'Ti8 Co4 Te4'
_symmetry_space_group_name_H-M 'I -4 2 d'
_symmetry_Int_Tables_number 122
_symmetry_space_group_name_Hall 'I -4 2bw'
_cell_length_a 7.0830
_cell_length_b 7.0830
_cell_length_c 5.5177
_cell_angle_alpha 90.00
_cell_angle_beta 90.00
_cell_angle_gamma 90.00
loop_
_atom_site_label
_atom_site_fract_x
_atom_site_fract_y
_atom_site_fract_z
_atom_site_occupancy
Ti1 0.1977 0.2500 0.1250 1
Co1 0.0000 0.0000 0.0000 1
Te1 0.0000 0.0000 0.5000 1
```

6.
Tl2CoTe: computed powder XRD pattern (Cu Kα, 1.54184 Å), based on a cell relaxed with GGA-PBE.

The 10 most intense peaks (2θ = 10–80°), by angle:
2θ = 26.57°, intensity 21, hkl 1 0 1
2θ = 30.50°, intensity 100, hkl 1 0 4
2θ = 32.64°, intensity 45, hkl 0 1 5
2θ = 34.57°, intensity 20, hkl 0 0 9
2θ = 40.80°, intensity 22, hkl 0 1 8
2θ = 46.40°, intensity 40, hkl 1 1 0
2θ = 56.55°, intensity 18, hkl 0 2 4
2θ = 58.12°, intensity 12, hkl 1 0 13
2θ = 59.13°, intensity 26, hkl 1 1 9
2θ = 76.06°, intensity 15, hkl 2 1 4

Structural model:
```
data_Tl2CoTe
_chemical_formula_sum 'Tl6 Co3 Te3'
_symmetry_space_group_name_H-M 'R 3 m'
_symmetry_Int_Tables_number 160
_symmetry_space_group_name_Hall 'R 3 -2"'
_cell_length_a 3.9137
_cell_length_b 3.9137
_cell_length_c 23.3525
_cell_angle_alpha 90.00
_cell_angle_beta 90.00
_cell_angle_gamma 120.00
loop_
_atom_site_label
_atom_site_fract_x
_atom_site_fract_y
_atom_site_fract_z
_atom_site_occupancy
Tl1 0.0000 0.0000 0.0000 1
Tl2 0.0000 0.0000 0.2274 1
Co1 0.0000 0.0000 0.4910 1
Te1 0.0000 0.0000 0.7798 1
```

7.
Tm4CoTe2: computed powder XRD pattern (Cu Kα, 1.54184 Å), based on a cell relaxed with GGA-PBE.

The 10 most intense peaks (2θ = 10–80°), by angle:
2θ = 13.48°, intensity 25, hkl 1 1 0
2θ = 26.34°, intensity 31, hkl 0 2 1
2θ = 28.75°, intensity 38, hkl 1 2 1
2θ = 31.68°, intensity 78, hkl 1 4 0
2θ = 32.57°, intensity 100, hkl 2 1 1
2θ = 33.25°, intensity 56, hkl 1 3 1
2θ = 35.07°, intensity 38, hkl 2 2 1
2θ = 44.42°, intensity 35, hkl 0 0 2
2θ = 51.86°, intensity 26, hkl 1 6 1
2θ = 55.58°, intensity 31, hkl 1 4 2

Structural model:
```
data_Tm4CoTe2
_chemical_formula_sum 'Tm8 Co2 Te4'
_symmetry_space_group_name_H-M 'P b a m'
_symmetry_Int_Tables_number 55
_cell_length_a 7.8196
_cell_length_b 12.1165
_cell_length_c 4.0792
_cell_angle_alpha 90.00
_cell_angle_beta 90.00
_cell_angle_gamma 90.00
loop_
_symmetry_equiv_pos_as_xyz
'x,y,z'
'-x,-y,-z'
'-x,-y,z'
'x,y,-z'
'x+1/2,-y+1/2,-z'
'-x+1/2,y+1/2,z'
'-x+1/2,y+1/2,-z'
'x+1/2,-y+1/2,z'
loop_
_atom_site_label
_atom_site_fract_x
_atom_site_fract_y
_atom_site_fract_z
_atom_site_occupancy
Tm1 0.1353 0.1916 0.0000 1
Tm2 0.1942 0.9437 0.5000 1
Co1 0.0000 0.0000 0.0000 1
Te1 0.0662 0.6643 0.5000 1
```

8.
Y5Co2Te2: computed powder XRD pattern (Cu Kα, 1.54184 Å), based on a cell relaxed with GGA-PBE.

The 10 most intense peaks (2θ = 10–80°), by angle:
2θ = 28.70°, intensity 43, hkl 1 3 0
2θ = 29.32°, intensity 73, hkl 1 3 1
2θ = 31.99°, intensity 31, hkl 0 2 5
2θ = 33.43°, intensity 91, hkl 1 1 4
2θ = 33.57°, intensity 100, hkl 0 4 4
2θ = 33.91°, intensity 70, hkl 1 3 3
2θ = 37.41°, intensity 45, hkl 1 5 0
2θ = 38.06°, intensity 56, hkl 1 1 5
2θ = 45.98°, intensity 46, hkl 2 0 0
2θ = 58.12°, intensity 40, hkl 2 4 4

Structural model:
```
data_Y5Co2Te2
_chemical_formula_sum 'Y20 Co8 Te8'
_symmetry_space_group_name_H-M 'C m c m'
_symmetry_Int_Tables_number 63
_symmetry_space_group_name_Hall '-C 2c 2'
_cell_length_a 3.9473
_cell_length_b 15.1552
_cell_length_c 15.0515
_cell_angle_alpha 90.00
_cell_angle_beta 90.00
_cell_angle_gamma 90.00
loop_
_atom_site_label
_atom_site_fract_x
_atom_site_fract_y
_atom_site_fract_z
_atom_site_occupancy
Y1 0.0000 0.0389 0.1247 1
Y2 0.0000 0.2577 0.6291 1
Y3 0.0000 0.3944 0.2500 1
Co1 0.0000 0.1789 0.2500 1
Co2 0.0000 0.4093 0.7500 1
Te1 0.0000 0.3832 0.0386 1
```

9.
Y12Co5Te: computed powder XRD pattern (Cu Kα, 1.54184 Å), based on a cell relaxed with GGA-PBE.

The 10 most intense peaks (2θ = 10–80°), by angle:
2θ = 29.57°, intensity 17, hkl 0 3 1
2θ = 29.81°, intensity 22, hkl 3 1 0
2θ = 32.21°, intensity 100, hkl 2 2 2
2θ = 34.40°, intensity 55, hkl 2 1 3
2θ = 34.90°, intensity 54, hkl 1 3 2
2θ = 35.27°, intensity 47, hkl 3 2 1
2θ = 38.00°, intensity 23, hkl 4 0 0
2θ = 54.59°, intensity 20, hkl 0 3 5
2θ = 58.23°, intensity 19, hkl 0 6 0
2θ = 59.85°, intensity 26, hkl 5 3 2

Structural model:
```
data_Y12Co5Te
_chemical_formula_sum 'Y24 Co10 Te2'
_symmetry_space_group_name_H-M 'I m m m'
_symmetry_Int_Tables_number 71
_symmetry_space_group_name_Hall '-I 2 2'
_cell_length_a 9.4724
_cell_length_b 9.5158
_cell_length_c 9.9145
_cell_angle_alpha 90.00
_cell_angle_beta 90.00
_cell_angle_gamma 90.00
loop_
_atom_site_label
_atom_site_fract_x
_atom_site_fract_y
_atom_site_fract_z
_atom_site_occupancy
Y1 0.0000 0.1948 0.2058 1
Y2 0.1911 0.5000 0.1890 1
Y3 0.2125 0.3174 0.5000 1
Co1 0.0000 0.0000 0.0000 1
Co2 0.0000 0.3787 0.0000 1
Co3 0.0000 0.5000 0.3896 1
Te1 0.0000 0.0000 0.5000 1
```

10.
Th5Co6: computed powder XRD pattern (Cu Kα, 1.54184 Å), based on a cell relaxed with GGA-PBE.

The 10 most intense peaks (2θ = 10–80°), by angle:
2θ = 27.28°, intensity 39, hkl 1 5 0
2θ = 30.58°, intensity 27, hkl 0 10 0
2θ = 34.05°, intensity 100, hkl 1 3 1
2θ = 39.39°, intensity 20, hkl 1 7 1
2θ = 43.25°, intensity 12, hkl 1 9 1
2θ = 46.04°, intensity 16, hkl 2 0 0
2θ = 47.93°, intensity 14, hkl 0 0 2
2θ = 52.70°, intensity 18, hkl 1 13 1
2θ = 56.03°, intensity 12, hkl 1 5 2
2θ = 58.50°, intensity 15, hkl 2 8 1

Structural model:
```
data_Th5Co6
_chemical_formula_sum 'Th10 Co12'
_symmetry_space_group_name_H-M 'C m m m'
_symmetry_Int_Tables_number 65
_symmetry_space_group_name_Hall '-C 2 2'
_cell_length_a 3.9424
_cell_length_b 29.2322
_cell_length_c 3.7960
_cell_angle_alpha 90.00
_cell_angle_beta 90.00
_cell_angle_gamma 90.00
loop_
_atom_site_label
_atom_site_fract_x
_atom_site_fract_y
_atom_site_fract_z
_atom_site_occupancy
Th1 0.0000 0.0000 0.0000 1
Th2 0.0000 0.1987 0.5000 1
Th3 0.0000 0.3889 0.0000 1
Co1 0.0000 0.0938 0.5000 1
Co2 0.0000 0.2846 0.0000 1
Co3 0.0000 0.4596 0.5000 1
```

11.
Th7Co3: computed powder XRD pattern (Cu Kα, 1.54184 Å), based on a cell relaxed with GGA-PBE.

The 10 most intense peaks (2θ = 10–80°), by angle:
2θ = 27.96°, intensity 23, hkl 2 1 0
2θ = 30.74°, intensity 42, hkl 1 0 2
2θ = 31.54°, intensity 100, hkl 2 1 1
2θ = 35.02°, intensity 36, hkl 3 0 1
2θ = 35.96°, intensity 30, hkl 2 0 2
2θ = 36.88°, intensity 22, hkl 2 2 0
2θ = 55.16°, intensity 24, hkl 3 0 3
2θ = 55.99°, intensity 28, hkl 3 2 2
2θ = 56.49°, intensity 21, hkl 5 0 1
2θ = 56.65°, intensity 17, hkl 3 3 0

Structural model:
```
data_Th7Co3
_chemical_formula_sum 'Th14 Co6'
_symmetry_space_group_name_H-M 'P 63 m c'
_symmetry_Int_Tables_number 186
_symmetry_space_group_name_Hall 'P 6c -2c'
_cell_length_a 9.7481
_cell_length_b 9.7481
_cell_length_c 6.1969
_cell_angle_alpha 90.00
_cell_angle_beta 90.00
_cell_angle_gamma 120.00
loop_
_atom_site_label
_atom_site_fract_x
_atom_site_fract_y
_atom_site_fract_z
_atom_site_occupancy
Th1 0.0875 0.5437 0.0000 1
Th2 0.1263 0.2527 0.6945 1
Th3 0.3333 0.6667 0.4933 1
Co1 0.1847 0.3694 0.2464 1
```

12.
ThTi6Co2: computed powder XRD pattern (Cu Kα, 1.54184 Å), based on a cell relaxed with GGA-PBE.

The 10 most intense peaks (2θ = 10–80°), by angle:
2θ = 23.61°, intensity 26, hkl 1 0 1
2θ = 29.14°, intensity 46, hkl 1 0 2
2θ = 30.55°, intensity 23, hkl 1 1 0
2θ = 32.13°, intensity 39, hkl 1 1 1
2θ = 36.49°, intensity 100, hkl 1 1 2
2θ = 36.69°, intensity 47, hkl 1 0 3
2θ = 43.75°, intensity 52, hkl 2 0 0
2θ = 45.43°, intensity 28, hkl 1 0 4
2θ = 58.38°, intensity 24, hkl 2 1 3
2θ = 75.60°, intensity 22, hkl 3 1 2

Structural model:
```
data_ThTi6Co2
_chemical_formula_sum 'Th1 Ti6 Co2'
_symmetry_space_group_name_H-M 'P 4/m m m'
_symmetry_Int_Tables_number 123
_symmetry_space_group_name_Hall '-P 4 2'
_cell_length_a 4.1381
_cell_length_b 4.1381
_cell_length_c 9.1179
_cell_angle_alpha 90.00
_cell_angle_beta 90.00
_cell_angle_gamma 90.00
loop_
_atom_site_label
_atom_site_fract_x
_atom_site_fract_y
_atom_site_fract_z
_atom_site_occupancy
Th1 0.0000 0.0000 0.0000 1
Ti1 0.0000 0.0000 0.5000 1
Ti2 0.0000 0.5000 0.2844 1
Ti3 0.5000 0.5000 0.5000 1
Co1 0.5000 0.5000 0.1359 1
```

13.
ThTi2Co: computed powder XRD pattern (Cu Kα, 1.54184 Å), based on a cell relaxed with GGA-PBE.

The 10 most intense peaks (2θ = 10–80°), by angle:
2θ = 22.03°, intensity 60, hkl 1 1 0
2θ = 26.37°, intensity 27, hkl 0 0 2
2θ = 31.66°, intensity 20, hkl 0 2 2
2θ = 33.14°, intensity 25, hkl 1 3 0
2θ = 34.62°, intensity 100, hkl 1 1 2
2θ = 35.77°, intensity 64, hkl 1 3 1
2θ = 37.37°, intensity 42, hkl 0 4 1
2θ = 41.17°, intensity 29, hkl 2 0 0
2θ = 52.88°, intensity 27, hkl 1 3 3
2θ = 56.80°, intensity 25, hkl 2 4 1

Structural model:
```
data_ThTi2Co
_chemical_formula_sum 'Th4 Ti8 Co4'
_symmetry_space_group_name_H-M 'C m c m'
_symmetry_Int_Tables_number 63
_symmetry_space_group_name_Hall '-C 2c 2'
_cell_length_a 4.3856
_cell_length_b 10.3006
_cell_length_c 6.7596
_cell_angle_alpha 90.00
_cell_angle_beta 90.00
_cell_angle_gamma 90.00
loop_
_atom_site_label
_atom_site_fract_x
_atom_site_fract_y
_atom_site_fract_z
_atom_site_occupancy
Th1 0.0000 0.0492 0.2500 1
Ti1 0.0000 0.3471 0.0418 1
Co1 0.0000 0.2104 0.7500 1
```